# 1
Calculated X-ray diffraction stick pattern of YSc2Cu2 for Cu Kα, from a cell relaxed with PBE.
No peak broadening, texture or thermal motion is included.

Structural model:
a b c (Å): 12.540 12.540 4.872
angles (deg): 90.00 90.00 164.66
Fractional positions:
Y 0.142 0.858 0.750
Y 0.858 0.142 0.250
Sc 0.046 0.954 0.250
Sc 0.232 0.768 0.250
Sc 0.768 0.232 0.750
Sc 0.954 0.046 0.750
Cu 0.358 0.642 0.750
Cu 0.459 0.541 0.250
Cu 0.541 0.459 0.750
Cu 0.642 0.358 0.250

Main lines, in order of rising 2θ (10° ≤ 2θ ≤ 80°):
- 14.25 deg, intensity 73
- 36.14 deg, intensity 200
- 36.90 deg, intensity 286
- 37.28 deg, intensity 1000
- 52.61 deg, intensity 128
- 54.86 deg, intensity 84
- 65.74 deg, intensity 71
- 66.73 deg, intensity 161
- 67.96 deg, intensity 90
- 79.47 deg, intensity 70

=====

# 2
Calculated X-ray diffraction stick pattern of K2B4O7 for Cu Kα, from a cell relaxed with PBE.
No peak broadening, texture or thermal motion is included.

Structural model:
a b c (Å): 6.563 9.798 10.547
angles (deg): 89.21 77.38 79.01
Fractional positions:
K 0.141 0.123 0.039
K 0.165 0.518 0.124
K 0.259 0.997 0.408
K 0.287 0.625 0.501
K 0.713 0.375 0.499
K 0.741 0.003 0.592
K 0.835 0.482 0.876
K 0.859 0.877 0.961
B 0.050 0.154 0.730
B 0.175 0.295 0.544
B 0.305 0.910 0.733
B 0.313 0.313 0.747
B 0.365 0.805 0.158
B 0.372 0.555 0.809
B 0.391 0.296 0.314
B 0.436 0.773 0.906
B 0.564 0.227 0.094
B 0.609 0.704 0.686
B 0.628 0.445 0.191
B 0.635 0.195 0.842
B 0.687 0.687 0.253
B 0.695 0.090 0.267
B 0.825 0.705 0.456
B 0.950 0.846 0.270
O 0.018 0.225 0.607
O 0.152 0.233 0.804
O 0.153 0.869 0.186
O 0.178 0.013 0.680
O 0.189 0.315 0.412
O 0.267 0.445 0.826
O 0.293 0.897 0.864
O 0.305 0.347 0.608
O 0.323 0.651 0.911
O 0.359 0.257 0.189
O 0.449 0.816 0.642
O 0.463 0.762 0.259
O 0.478 0.430 0.303
O 0.481 0.795 0.032
O 0.519 0.205 0.968
O 0.522 0.570 0.697
O 0.537 0.238 0.741
O 0.551 0.184 0.358
O 0.641 0.743 0.811
O 0.677 0.349 0.089
O 0.695 0.653 0.392
O 0.707 0.103 0.136
O 0.733 0.555 0.174
O 0.811 0.685 0.588
O 0.822 0.987 0.320
O 0.847 0.131 0.814
O 0.848 0.767 0.196
O 0.982 0.775 0.393

Main lines, in order of rising 2θ (10° ≤ 2θ ≤ 80°):
- 25.58 deg, intensity 653
- 27.36 deg, intensity 684
- 28.40 deg, intensity 448
- 28.68 deg, intensity 522
- 28.94 deg, intensity 656
- 29.43 deg, intensity 1000
- 30.86 deg, intensity 600
- 40.43 deg, intensity 481
- 42.15 deg, intensity 417
- 43.87 deg, intensity 427

=====

# 3
Calculated X-ray diffraction stick pattern of LaFeSi for Cu Kα, from a cell relaxed with PBE.
No peak broadening, texture or thermal motion is included.

Structural model:
a b c (Å): 4.094 4.094 7.162
angles (deg): 90.00 90.00 90.00
Fractional positions:
La 0.250 0.250 0.191
La 0.750 0.750 0.809
Fe 0.250 0.750 0.500
Fe 0.750 0.250 0.500
Si 0.250 0.250 0.656
Si 0.750 0.750 0.344

Main lines, in order of rising 2θ (10° ≤ 2θ ≤ 80°):
- 25.05 deg, intensity 1000
- 30.89 deg, intensity 313
- 33.24 deg, intensity 652
- 33.38 deg, intensity 392
- 40.05 deg, intensity 791
- 44.25 deg, intensity 513
- 51.52 deg, intensity 287
- 56.06 deg, intensity 247
- 56.45 deg, intensity 281
- 74.06 deg, intensity 216

=====

# 4
Calculated X-ray diffraction stick pattern of RbTiBe2Cl8 for Cu Kα, from a cell relaxed with PBE.
No peak broadening, texture or thermal motion is included.

Structural model:
a b c (Å): 10.492 10.492 10.492
angles (deg): 33.42 33.42 33.42
Fractional positions:
Rb 0.000 0.000 0.000
Ti 0.500 0.500 0.500
Be 0.238 0.238 0.238
Be 0.762 0.762 0.762
Cl 0.116 0.770 0.469
Cl 0.230 0.531 0.884
Cl 0.304 0.304 0.304
Cl 0.469 0.116 0.770
Cl 0.531 0.884 0.230
Cl 0.696 0.696 0.696
Cl 0.770 0.469 0.116
Cl 0.884 0.230 0.531

Main lines, in order of rising 2θ (10° ≤ 2θ ≤ 80°):
- 17.96 deg, intensity 208
- 20.79 deg, intensity 732
- 27.04 deg, intensity 306
- 29.59 deg, intensity 161
- 30.99 deg, intensity 809
- 34.81 deg, intensity 1000
- 46.26 deg, intensity 151
- 47.53 deg, intensity 207
- 52.53 deg, intensity 319
- 55.90 deg, intensity 125